1.
Structure and theoretical X-ray diffraction stick pattern of LiTh3Se3 (a cell relaxed with PBE; copper Kα).
Peak positions follow from Bragg's law for the DFT cell and can differ from measured ones.

Peak list (8 most intense, 10° ≤ 2θ ≤ 80°, sorted by position)
2θ 23.91, d = 3.722 Å, intensity 45
2θ 29.51, d = 3.027 Å, intensity 37
2θ 31.12, d = 2.874 Å, intensity 98
2θ 31.25, d = 2.862 Å, intensity 100
2θ 33.26, d = 2.694 Å, intensity 94
2θ 37.88, d = 2.375 Å, intensity 43
2θ 46.92, d = 1.936 Å, intensity 40
2θ 48.91, d = 1.862 Å, intensity 42

Lattice parameters (Å, degrees): 13.5692 3.8728 13.4208 90.00 90.00 90.00
Atoms (fractional coordinates):
Li  0.0242  0.2500  0.2040
Li  0.4758  0.7500  0.7040
Li  0.5242  0.2500  0.2960
Li  0.9758  0.7500  0.7960
Th  0.1172  0.7500  0.0192
Th  0.1275  0.2500  0.5948
Th  0.2005  0.7500  0.3513
Th  0.2995  0.2500  0.8513
Th  0.3725  0.7500  0.0948
Th  0.3828  0.2500  0.5192
Th  0.6172  0.7500  0.4808
Th  0.6275  0.2500  0.9052
Th  0.7005  0.7500  0.1487
Th  0.7995  0.2500  0.6487
Th  0.8725  0.7500  0.4052
Th  0.8828  0.2500  0.9808
Se  0.0397  0.2500  0.3893
Se  0.0809  0.2500  0.8460
Se  0.2155  0.2500  0.1739
Se  0.2845  0.7500  0.6739
Se  0.4191  0.7500  0.3460
Se  0.4603  0.7500  0.8893
Se  0.5397  0.2500  0.1107
Se  0.5809  0.2500  0.6540
Se  0.7155  0.2500  0.3261
Se  0.7845  0.7500  0.8261
Se  0.9191  0.7500  0.1540
Se  0.9603  0.7500  0.6107

2.
Structure and theoretical X-ray diffraction stick pattern of PmH6IrRh (a cell relaxed with PBE; copper Kα).
Peak positions follow from Bragg's law for the DFT cell and can differ from measured ones.

Peak list (8 most intense, 10° ≤ 2θ ≤ 80°, sorted by position)
2θ 21.10, d = 4.211 Å, intensity 10
2θ 30.32, d = 2.948 Å, intensity 100
2θ 37.75, d = 2.383 Å, intensity 59
2θ 42.95, d = 2.106 Å, intensity 13
2θ 49.17, d = 1.853 Å, intensity 27
2θ 58.50, d = 1.578 Å, intensity 33
2θ 63.61, d = 1.463 Å, intensity 24
2θ 68.17, d = 1.376 Å, intensity 10

Lattice parameters (Å, degrees): 4.7655 4.7655 4.2113 90.00 90.00 120.00
Atoms (fractional coordinates):
Pm  0.0000  0.0000  0.0000
H  0.0087  0.5044  0.7710
H  0.0098  0.5049  0.2293
H  0.4951  0.5049  0.2293
H  0.4951  0.9902  0.2293
H  0.4956  0.5044  0.7710
H  0.4956  0.9913  0.7710
Ir  0.3333  0.6667  0.5016
Rh  0.6667  0.3333  0.4982

3.
Structure and theoretical X-ray diffraction stick pattern of PuAlPb (a cell relaxed with PBE; copper Kα).
Peak positions follow from Bragg's law for the DFT cell and can differ from measured ones.

Peak list (8 most intense, 10° ≤ 2θ ≤ 80°, sorted by position)
2θ 10.91, d = 8.112 Å, intensity 40
2θ 21.91, d = 4.056 Å, intensity 37
2θ 30.30, d = 2.950 Å, intensity 37
2θ 33.13, d = 2.704 Å, intensity 29
2θ 34.71, d = 2.585 Å, intensity 100
2θ 37.71, d = 2.386 Å, intensity 27
2θ 39.83, d = 2.263 Å, intensity 38
2θ 56.71, d = 1.623 Å, intensity 29

Lattice parameters (Å, degrees): 5.8996 3.0752 8.1118 90.00 90.00 90.00
Atoms (fractional coordinates):
Pu  0.2500  0.0000  0.2043
Pu  0.7500  0.0000  0.7957
Al  0.0000  0.5000  0.5000
Al  0.5000  0.5000  0.5000
Pb  0.2500  0.5000  0.8300
Pb  0.7500  0.5000  0.1700

4.
Structure and theoretical X-ray diffraction stick pattern of Tb7Dy4Tm2 (a cell relaxed with PBE; copper Kα).
Peak positions follow from Bragg's law for the DFT cell and can differ from measured ones.

Peak list (8 most intense, 10° ≤ 2θ ≤ 80°, sorted by position)
2θ 27.28, d = 3.270 Å, intensity 20
2θ 29.51, d = 3.027 Å, intensity 16
2θ 30.31, d = 2.949 Å, intensity 42
2θ 32.60, d = 2.747 Å, intensity 100
2θ 34.27, d = 2.617 Å, intensity 17
2θ 36.12, d = 2.486 Å, intensity 32
2θ 51.68, d = 1.769 Å, intensity 18
2θ 52.35, d = 1.748 Å, intensity 29

Lattice parameters (Å, degrees): 6.0560 6.0560 13.0784 90.05 90.05 120.05
Atoms (fractional coordinates):
Tb  0.0000  0.0000  0.0000
Tb  0.0013  0.6385  0.2165
Tb  0.3615  0.9987  0.7835
Tb  0.3635  0.3635  0.2172
Tb  0.6365  0.6365  0.7828
Tb  0.6385  0.0013  0.2165
Tb  0.9987  0.3615  0.7835
Dy  0.0015  0.0015  0.6078
Dy  0.3331  0.6669  0.5000
Dy  0.6669  0.3331  0.5000
Dy  0.9985  0.9985  0.3922
Tm  0.3335  0.6665  0.0000
Tm  0.6665  0.3335  0.0000

5.
Structure and theoretical X-ray diffraction stick pattern of Li4H6Pd7 (a cell relaxed with PBE; copper Kα).
Peak positions follow from Bragg's law for the DFT cell and can differ from measured ones.

Peak list (8 most intense, 10° ≤ 2θ ≤ 80°, sorted by position)
2θ 19.05, d = 4.659 Å, intensity 64
2θ 19.52, d = 4.549 Å, intensity 83
2θ 22.83, d = 3.896 Å, intensity 82
2θ 34.15, d = 2.626 Å, intensity 72
2θ 39.62, d = 2.275 Å, intensity 100
2θ 41.85, d = 2.158 Å, intensity 66
2θ 44.16, d = 2.051 Å, intensity 89
2θ 44.40, d = 2.040 Å, intensity 61

Lattice parameters (Å, degrees): 6.4854 6.4854 7.8098 123.66 123.66 53.25
Atoms (fractional coordinates):
Li  0.0000  0.5000  0.0000
Li  0.0000  0.5000  0.5000
Li  0.5000  0.0000  0.0000
Li  0.5000  0.0000  0.5000
H  0.0958  0.0958  0.6853
H  0.1965  0.8035  0.0000
H  0.4276  0.4276  0.3127
H  0.5724  0.5724  0.6873
H  0.8035  0.1965  0.0000
H  0.9042  0.9042  0.3147
Pd  0.0055  0.0055  0.8185
Pd  0.2459  0.7541  0.5000
Pd  0.2480  0.2480  0.2436
Pd  0.5000  0.5000  0.0000
Pd  0.7520  0.7520  0.7564
Pd  0.7541  0.2459  0.5000
Pd  0.9945  0.9945  0.1815

6.
Structure and theoretical X-ray diffraction stick pattern of Tb7Tl2Bi2 (a cell relaxed with PBE; copper Kα).
Peak positions follow from Bragg's law for the DFT cell and can differ from measured ones.

Peak list (8 most intense, 10° ≤ 2θ ≤ 80°, sorted by position)
2θ 19.66, d = 4.516 Å, intensity 32
2θ 24.12, d = 3.690 Å, intensity 63
2θ 26.59, d = 3.352 Å, intensity 48
2θ 32.21, d = 2.779 Å, intensity 56
2θ 35.18, d = 2.551 Å, intensity 46
2θ 35.43, d = 2.534 Å, intensity 100
2θ 40.64, d = 2.220 Å, intensity 22
2θ 42.11, d = 2.146 Å, intensity 28

Lattice parameters (Å, degrees): 6.9650 6.9650 7.7464 90.07 90.07 74.11
Atoms (fractional coordinates):
Tb  0.0000  0.0000  0.0000
Tb  0.0005  0.4992  0.2859
Tb  0.9995  0.5008  0.7141
Tb  0.4992  0.0005  0.2859
Tb  0.5001  0.5001  0.2738
Tb  0.4999  0.4999  0.7262
Tb  0.5008  0.9995  0.7141
Tl  0.1789  0.8211  0.5000
Tl  0.8211  0.1789  0.5000
Bi  0.2865  0.2865  0.9995
Bi  0.7135  0.7135  0.0005